(1)
This entry pairs a crystal structure of TbSmAsP with its simulated powder X-ray diffraction pattern. Radiation: Cu Ka. Structure: DFT lattice parameters and positions (GGA-PBE).
Kinematic intensities with the Lorentz-polarization factor, no thermal factor.

Structural model:
```
data_TbSmAsP
_chemical_formula_sum 'Tb1 Sm1 As1 P1'
_cell_length_a 4.127
_cell_length_b 4.127
_cell_length_c 5.826
_cell_angle_alpha 90.00
_cell_angle_beta 90.00
_cell_angle_gamma 90.00
_space_group_name_H-M_alt 'P 4/m m m'
_space_group_IT_number 123
_space_group_name_Hall '-P 4 2'
loop_
_atom_site_label
_atom_site_fract_x
_atom_site_fract_y
_atom_site_fract_z
Tb1 0.000 0.000 0.000
Sm1 0.500 0.500 0.500
As1 0.000 0.000 0.500
P1 0.500 0.500 0.000
```

Main lines, in order of falling intensity (2θ = 5–70°):
index  Position (°2θ)  I_rel
1 1 0  30.66  100
2 0 0  43.91  74
1 0 1  26.47  43
2 0 2  54.50  26
2 1 1  52.00  21
2 2 0  63.79  8
0 0 4  63.92  4
1 0 0  21.53  3
0 0 1  15.21  1
1 0 2  37.80  1

***

(2)
This entry pairs a crystal structure of Y3AlSn2 with its simulated powder X-ray diffraction pattern. Radiation: Cu Ka. Structure: DFT lattice parameters and positions (GGA-PBE).
Kinematic intensities with the Lorentz-polarization factor, no thermal factor.

Structural model:
```
data_Y3AlSn2
_chemical_formula_sum 'Y12 Al4 Sn8'
_cell_length_a 12.218
_cell_length_b 4.435
_cell_length_c 11.878
_cell_angle_alpha 90.00
_cell_angle_beta 90.00
_cell_angle_gamma 90.00
_space_group_name_H-M_alt 'P n m a'
_space_group_IT_number 62
loop_
_space_group_symop_operation_xyz
'x,y,z'
'-x,-y,-z'
'-x+1/2,-y,z+1/2'
'x+1/2,y,-z+1/2'
'x+1/2,-y+1/2,-z+1/2'
'-x+1/2,y+1/2,z+1/2'
'-x,y+1/2,-z'
'x,-y+1/2,z'
loop_
_atom_site_label
_atom_site_fract_x
_atom_site_fract_y
_atom_site_fract_z
Y1 0.051 0.250 0.121
Y2 0.126 0.750 0.561
Y3 0.216 0.250 0.795
Al1 0.131 0.250 0.370
Sn1 0.011 0.750 0.311
Sn2 0.187 0.750 0.004
```

Main lines, in order of falling intensity (2θ = 5–70°):
index  Position (°2θ)  I_rel
3 1 2  33.49  100
0 1 3  30.25  86
0 2 0  40.69  67
2 1 2  29.07  58
1 1 3  31.15  44
4 1 1  36.51  44
4 1 2  38.88  40
3 0 5  44.14  40
3 1 1  30.74  32
3 2 5  61.58  30

***

What is the formula in the first record? TbSmAsP